For LiVCrP2H2O10, a cell relaxed with PBE+U gives the calculated powder diffractogram in this record (Cu Kα (λ = 1.5418 Å)).
Neutral-atom scattering factors, no anomalous dispersion.

Cell and atoms:
Lattice parameters (Å, degrees): 5.1980 5.2299 8.1452 79.50 77.62 77.34
Element x y z (fractional)
Li 0.0000 0.0000 0.0000
V 0.8447 0.2453 0.3658
Cr 0.2488 0.5241 0.7307
P 0.3063 0.0088 0.6416
P 0.4191 0.2373 0.1024
H 0.5018 0.8659 0.0050
H 0.6571 0.5861 0.8779
O 0.0764 0.7006 0.5377
O 0.0981 0.1887 0.7650
O 0.1347 0.9784 0.4897
O 0.1827 0.3780 0.2168
O 0.3459 0.9605 0.0870
O 0.4729 0.3818 0.9164
O 0.4972 0.2092 0.5516
O 0.6910 0.1753 0.1647
O 0.7242 0.7601 0.8613
O 0.9855 0.6733 0.9139

Top 12 peaks for 10 to 80 degrees two-theta, in order of rising 2θ:
two_theta, intensity
11.2, 36
17.6, 69
17.8, 62
19.5, 84
22.2, 31
22.6, 54
22.8, 87
26.2, 100
30.7, 26
35.9, 33
36.3, 40
36.8, 35